Calculated powder diffractogram
Compound: CuSb6S2O16
Radiation: Cu Kα (λ = 1.5418 Å)
Structure: a DFT-relaxed cell (GGA-PBE, the Materials Project)
Neutral-atom scattering factors, no anomalous dispersion.

Structure:
```
25
Lattice="5.636 0.000 0.000 -2.619 7.361 0.000 -0.558 -1.388 9.308" Properties=species:S:1:pos:R:3 pbc="T T T"
Cu 0.000 0.000 0.000
Sb -1.278 6.221 6.715
Sb 0.785 2.196 2.799
Sb -0.319 3.550 9.141
Sb 2.778 2.424 0.168
Sb 1.674 3.778 6.510
Sb 3.736 -0.248 2.593
S -1.320 4.763 3.312
S 3.779 1.211 5.996
O -0.336 0.906 1.717
O -1.171 3.453 2.549
O -0.464 1.055 5.561
O -0.955 5.876 2.337
O -0.358 4.776 4.438
O 1.006 -0.348 8.596
O -0.029 4.766 7.408
O 1.251 3.321 1.173
O 1.208 2.652 8.136
O 2.488 1.208 1.900
O 1.452 6.322 0.712
O 2.816 1.197 4.870
O 3.414 0.097 6.972
O 2.922 4.918 3.747
O 3.629 2.520 6.759
O 2.795 5.068 7.592
```

Most intense lines, 15° ≤ 2θ ≤ 90°, sorted by position:
2θ/deg	I_rel
16.79	20
25.59	100
27.18	84
28.44	50
28.78	41
32.32	46
32.74	27
37.04	21
38.30	31
52.63	21

Calculated powder diffractogram
Compound: Sr2Cu3S2O2
Radiation: Cu Kα (λ = 1.5418 Å)
Structure: a DFT-relaxed cell (GGA-PBE, the Materials Project)
Neutral-atom scattering factors, no anomalous dispersion.

Structure:
```
9
Lattice="-1.967 1.967 9.208 1.967 -1.967 9.208 1.967 1.967 -9.208" Properties=species:S:1:pos:R:3 pbc="T T T"
Sr 0.000 0.000 1.690
Sr 0.000 0.000 16.726
Cu 1.967 0.000 4.604
Cu 0.000 0.000 9.208
Cu 0.000 1.967 4.604
S 0.000 0.000 6.001
S 0.000 0.000 12.414
O 1.967 0.000 0.000
O 0.000 1.967 0.000
```

Most intense lines, 15° ≤ 2θ ≤ 90°, sorted by position:
2θ/deg	I_rel
33.32	100
33.65	52
37.78	51
41.28	25
46.14	55
58.10	38
60.28	32
63.62	13
67.31	16
79.15	17